Theoretical powder X-ray diffraction pattern of Lu2CoPb2 for Cu Kα, from the GGA-PBE geometry in OQMD.

Largest 8 diffraction maxima, low angle first, 2θ from 10° to 90°:
d 2.857, 2θ 31.3, intensity 42, (1 1 2); d 2.807, 2θ 31.9, intensity 100, (1 1 -3); d 2.778, 2θ 32.2, intensity 58, (3 1 -1); d 2.710, 2θ 33.1, intensity 45, (4 0 -2); d 2.536, 2θ 35.4, intensity 32, (3 1 -3); d 2.317, 2θ 38.9, intensity 59, (3 1 1); d 2.198, 2θ 41.1, intensity 51, (0 2 0); d 1.707, 2θ 53.7, intensity 23, (4 2 -2)

Structural model:
abc: 10.853 4.396 11.029
angles: 90.00 116.77 90.00
Space group C2/m (No. 12)
Asymmetric unit:
Lu 0.012 0.000 0.173
Lu 0.185 0.000 0.634
Co 0.224 0.500 0.819
Pb 0.036 0.500 0.381
Pb 0.162 0.500 0.048

Theoretical powder X-ray diffraction pattern of Y3Lu4Co2Te2 for Cu Kα, from the GGA-PBE geometry in OQMD.

Largest 8 diffraction maxima, low angle first, 2θ from 10° to 90°:
d 3.544, 2θ 25.1, intensity 39, (1 0 1); d 2.904, 2θ 30.8, intensity 43, (1 1 2); d 2.656, 2θ 33.8, intensity 87, (0 3 3); d 2.616, 2θ 34.3, intensity 100, (1 4 1); d 2.566, 2θ 35.0, intensity 90, (1 3 2); d 2.409, 2θ 37.3, intensity 27, (1 0 3); d 1.917, 2θ 47.4, intensity 36, (2 0 0); d 1.554, 2θ 59.5, intensity 34, (2 3 3)

Structural model:
abc: 3.834 15.507 9.286
angles: 90.00 90.00 90.00
Space group Imm2 (No. 44)
Asymmetric unit:
Y 0.000 0.000 0.000
Y 0.000 0.350 0.264
Lu 0.000 0.136 0.415
Lu 0.000 0.315 0.622
Co 0.000 0.240 0.933
Te 0.000 0.000 0.658
Te 0.000 0.500 0.768